Entry 1:
The following is a theoretical PXRD pattern of HfPa3H. It was derived from a GGA-PBE-relaxed structure, using Cu Ka.

Atomic structure:
Cell: 4.6923 4.6923 4.6923 Å, 90.00 90.00 90.00°
Fractional positions:
Hf 0.0000 0.0000 0.0000
Pa 0.0000 0.5000 0.5000
Pa 0.5000 0.0000 0.5000
Pa 0.5000 0.5000 0.0000
H 0.5000 0.5000 0.5000

Largest 6 diffraction maxima, by intensity, 2θ = 5–70°:
two_theta  I/Imax
33.07  100
38.37  51
66.04  43
55.38  36
69.38  12
18.91  1

=====

Entry 2:
The following is a theoretical PXRD pattern of Hf6HPb2. It was derived from a GGA-PBE-relaxed structure, using Cu Ka.

Atomic structure:
Cell: 6.3050 6.3050 6.3050 Å, 119.19 119.19 91.40°
Fractional positions:
Hf 0.2472 0.2472 0.0000
Hf 0.2488 0.2488 0.4977
Hf 0.2488 0.7512 0.0000
Hf 0.7512 0.2488 0.0000
Hf 0.7512 0.7512 0.5023
Hf 0.7528 0.7528 0.0000
H 0.5000 0.5000 0.0000
Pb 0.2500 0.7500 0.5000
Pb 0.7500 0.2500 0.5000

Largest 6 diffraction maxima, by intensity, 2θ = 5–70°:
two_theta  I/Imax
34.72  100
39.96  34
69.21  28
58.58  23
40.99  16
57.79  12

=====

Entry 3:
The following is a theoretical PXRD pattern of PmHfH4. It was derived from a GGA-PBE-relaxed structure, using Cu Ka.

Atomic structure:
Cell: 3.4462 3.4462 5.3353 Å, 90.00 90.00 90.00°
Fractional positions:
Pm 0.0000 0.0000 0.0000
Hf 0.5000 0.5000 0.5000
H 0.0000 0.5000 0.2896
H 0.0000 0.5000 0.7104
H 0.5000 0.0000 0.2896
H 0.5000 0.0000 0.7104

Largest 6 diffraction maxima, by intensity, 2θ = 5–70°:
two_theta  I/Imax
30.89  100
36.89  30
62.75  27
50.74  26
33.59  19
58.39  17

=====

Entry 4:
The following is a theoretical PXRD pattern of PmHf2H. It was derived from a GGA-PBE-relaxed structure, using Cu Ka.

Atomic structure:
Cell: 3.2400 3.2400 26.1611 Å, 90.00 90.00 120.00°
Fractional positions:
Pm 0.0000 0.0000 0.0000
Pm 0.3333 0.6667 0.6667
Pm 0.6667 0.3333 0.3333
Hf 0.0000 0.0000 0.1193
Hf 0.0000 0.0000 0.8807
Hf 0.3333 0.6667 0.5474
Hf 0.3333 0.6667 0.7860
Hf 0.6667 0.3333 0.2140
Hf 0.6667 0.3333 0.4526
H 0.0000 0.0000 0.5000
H 0.3333 0.6667 0.1667
H 0.6667 0.3333 0.8333

Largest 6 diffraction maxima, by intensity, 2θ = 5–70°:
two_theta  I/Imax
32.08  100
42.45  68
30.76  49
40.19  35
66.02  33
56.83  31

=====

Entry 5:
The following is a theoretical PXRD pattern of Hf6HPt2. It was derived from a GGA-PBE-relaxed structure, using Cu Ka.

Atomic structure:
Cell: 5.8926 6.1996 10.9363 Å, 90.00 121.81 90.00°
Fractional positions:
Hf 0.0812 0.2106 0.4523
Hf 0.0812 0.2894 0.9523
Hf 0.3203 0.6932 0.4542
Hf 0.3203 0.8068 0.9542
Hf 0.4164 0.0293 0.2483
Hf 0.4164 0.4707 0.7483
Hf 0.5836 0.5293 0.2517
Hf 0.5836 0.9707 0.7517
Hf 0.6797 0.1932 0.0458
Hf 0.6797 0.3068 0.5458
Hf 0.9188 0.7106 0.0477
Hf 0.9188 0.7894 0.5477
H 0.5000 0.0000 0.5000
H 0.5000 0.5000 0.0000
Pt 0.1358 0.1171 0.7456
Pt 0.1358 0.3829 0.2456
Pt 0.8642 0.6171 0.7544
Pt 0.8642 0.8829 0.2544

Largest 6 diffraction maxima, by intensity, 2θ = 5–70°:
two_theta  I/Imax
38.77  100
34.79  90
39.22  53
34.96  53
35.20  47
35.98  40

=====

Entry 6:
The following is a theoretical PXRD pattern of Hf4H2Pt. It was derived from a GGA-PBE-relaxed structure, using Cu Ka.

Atomic structure:
Cell: 6.8096 6.8096 8.4343 Å, 128.14 128.14 54.95°
Fractional positions:
Hf 0.0465 0.0465 0.2363
Hf 0.4136 0.4920 0.6429
Hf 0.5080 0.5864 0.3571
Hf 0.5121 0.0786 0.8514
Hf 0.5398 0.0514 0.2403
Hf 0.9214 0.4879 0.1486
Hf 0.9486 0.4602 0.7597
Hf 0.9535 0.9535 0.7637
H 0.2301 0.2698 0.3289
H 0.6552 0.1950 0.1750
H 0.7302 0.7699 0.6711
H 0.8050 0.3448 0.8250
Pt 0.0878 0.9122 0.5000
Pt 0.3730 0.6270 0.0000

Largest 6 diffraction maxima, by intensity, 2θ = 5–70°:
two_theta  I/Imax
35.28  100
40.86  65
34.96  63
35.64  57
44.49  56
34.13  49

=====

Entry 7:
The following is a theoretical PXRD pattern of Rb2HfH2S4. It was derived from a GGA-PBE-relaxed structure, using Cu Ka.

Atomic structure:
Cell: 8.7848 8.7848 7.2745 Å, 112.57 112.57 22.67°
Fractional positions:
Rb 0.1413 0.1413 0.1282
Rb 0.8587 0.8587 0.8718
Hf 0.0000 0.0000 0.5000
H 0.3243 0.3243 0.3767
H 0.6757 0.6757 0.6233
S 0.1680 0.1680 0.6601
S 0.5000 0.5000 0.2530
S 0.5000 0.5000 0.7470
S 0.8320 0.8320 0.3399

Largest 6 diffraction maxima, by intensity, 2θ = 5–70°:
two_theta  I/Imax
11.16  100
36.43  88
24.49  69
36.19  68
26.42  58
21.11  56

=====

Entry 8:
The following is a theoretical PXRD pattern of Hf3HRh. It was derived from a GGA-PBE-relaxed structure, using Cu Ka.

Atomic structure:
Cell: 7.0563 7.0563 7.0563 Å, 47.32 47.32 47.32°
Fractional positions:
Hf 0.0785 0.7290 0.3952
Hf 0.2710 0.6048 0.9215
Hf 0.3952 0.0785 0.7290
Hf 0.6048 0.9215 0.2710
Hf 0.7290 0.3952 0.0785
Hf 0.9215 0.2710 0.6048
H 0.3403 0.3403 0.3403
H 0.6597 0.6597 0.6597
Rh 0.1677 0.1677 0.1677
Rh 0.8323 0.8323 0.8323

Largest 6 diffraction maxima, by intensity, 2θ = 5–70°:
two_theta  I/Imax
34.78  100
43.10  42
56.26  23
67.87  14
28.55  14
54.68  11

=====

Entry 9:
The following is a theoretical PXRD pattern of HfHRh3. It was derived from a GGA-PBE-relaxed structure, using Cu Ka.

Atomic structure:
Cell: 5.6668 5.6668 5.6668 Å, 120.88 120.86 88.50°
Fractional positions:
Hf 0.0000 0.0000 0.0000
Hf 0.4721 0.4721 0.0000
H 0.7354 0.2354 0.5000
H 0.7361 0.7361 0.0000
Rh 0.4841 0.9841 0.5000
Rh 0.4853 0.4892 0.5023
Rh 0.4853 0.9830 0.9961
Rh 0.9869 0.4892 0.0039
Rh 0.9869 0.9830 0.4977
Rh 0.9880 0.4880 0.5000

Largest 6 diffraction maxima, by intensity, 2θ = 5–70°:
two_theta  I/Imax
39.12  100
45.90  32
65.96  21
44.65  17
66.93  10
22.48  4

=====

Entry 10:
The following is a theoretical PXRD pattern of HfHRh3. It was derived from a GGA-PBE-relaxed structure, using Cu Ka.

Atomic structure:
Cell: 5.5819 4.0743 5.5912 Å, 90.00 90.05 90.00°
Fractional positions:
Hf 0.0000 0.0000 0.0000
Hf 0.4905 0.0000 0.5000
H 0.4933 0.5000 0.9997
H 0.5496 0.5000 0.4993
Rh 0.2441 0.5000 0.2509
Rh 0.2441 0.5000 0.7489
Rh 0.4975 0.0000 0.9999
Rh 0.7529 0.5000 0.2471
Rh 0.7529 0.5000 0.7527
Rh 0.9975 0.0000 0.5000

Largest 6 diffraction maxima, by intensity, 2θ = 5–70°:
two_theta  I/Imax
39.10  100
45.95  32
65.86  21
44.47  18
66.94  5
67.07  5

=====

Entry 11:
The following is a theoretical PXRD pattern of Hf2H7Ru2. It was derived from a GGA-PBE-relaxed structure, using Cu Ka.

Atomic structure:
Cell: 4.5721 4.5721 4.2988 Å, 90.00 90.00 95.24°
Fractional positions:
Hf 0.2419 0.2419 0.0000
Hf 0.7581 0.7581 0.0000
H 0.0000 0.0000 0.5000
H 0.0000 0.5000 0.2628
H 0.0000 0.5000 0.7372
H 0.5000 0.0000 0.2628
H 0.5000 0.0000 0.7372
H 0.5000 0.5000 0.2749
H 0.5000 0.5000 0.7251
Ru 0.2628 0.7372 0.5000
Ru 0.7372 0.2628 0.5000

Largest 6 diffraction maxima, by intensity, 2θ = 5–70°:
two_theta  I/Imax
33.75  100
35.85  86
39.59  62
59.11  40
66.81  28
42.04  27

=====

Entry 12:
The following is a theoretical PXRD pattern of HfZrHS. It was derived from a GGA-PBE-relaxed structure, using Cu Ka.

Atomic structure:
Cell: 3.5109 3.5109 5.7203 Å, 90.00 90.00 120.00°
Fractional positions:
Hf 0.0000 0.0000 0.0000
Zr 0.3333 0.6667 0.5463
H 0.0000 0.0000 0.6544
S 0.6667 0.3333 0.2648

Largest 6 diffraction maxima, by intensity, 2θ = 5–70°:
two_theta  I/Imax
33.37  100
43.44  30
52.10  22
29.37  19
57.01  18
31.27  18

=====

Entry 13:
The following is a theoretical PXRD pattern of Hf3SbH3. It was derived from a GGA-PBE-relaxed structure, using Cu Ka.

Atomic structure:
Cell: 5.6918 5.6918 5.6918 Å, 90.00 90.00 90.00°
Fractional positions:
Hf 0.0000 0.2500 0.5000
Hf 0.0000 0.7500 0.5000
Hf 0.2500 0.5000 0.0000
Hf 0.5000 0.0000 0.2500
Hf 0.5000 0.0000 0.7500
Hf 0.7500 0.5000 0.0000
Sb 0.0000 0.0000 0.0000
Sb 0.5000 0.5000 0.5000
H 0.0000 0.5000 0.2500
H 0.0000 0.5000 0.7500
H 0.2500 0.0000 0.5000
H 0.5000 0.2500 0.0000
H 0.5000 0.7500 0.0000
H 0.7500 0.0000 0.5000

Largest 6 diffraction maxima, by intensity, 2θ = 5–70°:
two_theta  I/Imax
35.26  100
38.75  56
60.90  30
31.43  25
58.46  24
65.61  14